Record 1
Structure and computed powder X-ray diffraction pattern of LaAg3Sn (a cell relaxed with GGA-PBE; Cu Kα X-rays).
No peak broadening, texture or thermal motion is included.

Structure:
a = 4.619 Å, b = 4.620 Å, c = 6.568 Å
α = 110.42°, β = 110.51°, γ = 90.18°
Fractional coordinates of all 5 atoms:
La: 0.000 0.000 0.000
Ag: 0.241 0.744 0.486
Ag: 0.379 0.377 0.755
Ag: 0.744 0.242 0.486
Sn: 0.607 0.610 0.219

Largest 10 diffraction maxima, most intense first, 10 to 90 degrees two-theta:
Position (°2θ)  d [Å]  Rel. int.
31.5  2.836  100
39.0  2.310  88
30.4  2.937  71
44.3  2.046  40
31.6  2.830  33
42.0  2.150  30
50.2  1.817  18
50.3  1.814  17
65.4  1.427  16
60.5  1.530  16

---

Record 2
Structure and computed powder X-ray diffraction pattern of SmZnCo (a cell relaxed with GGA-PBE; Cu Kα X-rays).
No peak broadening, texture or thermal motion is included.

Structure:
a = 6.290 Å, b = 6.290 Å, c = 5.043 Å
α = 104.14°, β = 104.14°, γ = 36.83°
Fractional coordinates of all 6 atoms:
Sm: 0.122 0.122 0.310
Sm: 0.878 0.878 0.690
Zn: 0.412 0.412 0.231
Zn: 0.588 0.588 0.769
Co: 0.222 0.222 0.881
Co: 0.778 0.778 0.119

Largest 10 diffraction maxima, most intense first, 10 to 90 degrees two-theta:
Position (°2θ)  d [Å]  Rel. int.
34.2  2.621  100
40.4  2.233  47
31.3  2.862  43
32.4  2.763  36
45.7  1.987  35
36.1  2.485  27
31.0  2.883  27
46.1  1.970  24
36.9  2.436  24
42.5  2.127  22